(1)
Diffraction record for RhAuBr4. The XRD peak list is computed, not measured: it uses the PBE geometry in Alexandria and Cu Kα (weighted mean of Kα1 and Kα2).

Main lines, low angle first (2θ = 15–90°):
2θ = 16.89°, I = 100; 2θ = 19.38°, I = 47; 2θ = 31.37°, I = 79; 2θ = 36.79°, I = 33; 2θ = 47.70°, I = 28; 2θ = 50.46°, I = 33

Cell and atoms:
abc: 9.708 9.708 6.456
angles: 91.11 91.11 137.43
Positions (direct):
1 Rh 0.051 0.949 0.750
2 Rh 0.949 0.051 0.250
3 Au 0.351 0.649 0.250
4 Au 0.649 0.351 0.750
5 Br 0.051 0.353 0.422
6 Br 0.151 0.244 0.939
7 Br 0.244 0.151 0.439
8 Br 0.353 0.051 0.922
9 Br 0.647 0.949 0.078
10 Br 0.756 0.849 0.561
11 Br 0.849 0.756 0.061
12 Br 0.949 0.647 0.578


(2)
Diffraction record for Sr3N2. The XRD peak list is computed, not measured: it uses the PBE geometry in Alexandria and Cu Kα (weighted mean of Kα1 and Kα2).

Main lines, low angle first (2θ = 15–90°):
2θ = 26.79°, I = 14; 2θ = 28.17°, I = 20; 2θ = 30.34°, I = 100; 2θ = 39.27°, I = 31; 2θ = 47.32°, I = 21; 2θ = 51.23°, I = 18

Cell and atoms:
abc: 7.410 7.410 7.410
angles: 53.36 53.36 53.36
Positions (direct):
1 Sr 0.106 0.786 0.393
2 Sr 0.214 0.607 0.894
3 Sr 0.393 0.106 0.786
4 Sr 0.607 0.894 0.214
5 Sr 0.786 0.393 0.106
6 Sr 0.894 0.214 0.607
7 N 0.000 0.000 0.000
8 N 0.187 0.187 0.187
9 N 0.500 0.500 0.500
10 N 0.813 0.813 0.813